For CrCu23Pd6, the GGA-PBE geometry in Alexandria gives the computed XRD peak list in this record (copper Kα).

Structure:
Cell lengths 11.6537, 11.6537, 11.6537 Å; angles 90.00, 90.00, 90.00 degrees
Space group Fm-3m (No. 225)
Unique sites:
Cr (0.0000, 0.0000, 0.0000)
Cu (0.0000, 0.0000, 0.5000)
Cu (0.0000, 0.2500, 0.2500)
Cu (0.1312, 0.1312, 0.3688)
Cu (0.1393, 0.1393, 0.1393)
Pd (0.0000, 0.0000, 0.2460)

Top 12 peaks for 2θ = 10–90°, in order of falling intensity:
- (4 4 0), 2θ 44.0, d = 2.060 Å, intensity 100
- (8 4 4), 2θ 80.8, d = 1.189 Å, intensity 26
- (8 0 0), 2θ 63.9, d = 1.457 Å, intensity 14
- (4 2 0), 2θ 34.4, d = 2.606 Å, intensity 9
- (2 2 0), 2θ 21.6, d = 4.120 Å, intensity 6
- (4 2 2), 2θ 37.8, d = 2.379 Å, intensity 4
- (6 4 4), 2θ 66.1, d = 1.413 Å, intensity 4
- (6 0 0), 2θ 46.8, d = 1.942 Å, intensity 3
- (6 2 0), 2θ 49.5, d = 1.843 Å, intensity 2
- (8 6 0), 2θ 82.8, d = 1.165 Å, intensity 2
- (8 4 2), 2θ 74.6, d = 1.272 Å, intensity 1
- (6 6 4), 2θ 76.7, d = 1.242 Å, intensity 1